LiPO4: simulated powder X-ray diffraction pattern (Cu Kα (weighted mean of Kα1 and Kα2)), based on a crystal structure in the Materials Project, relaxed with GGA-PBE.
Peak positions follow from Bragg's law for the DFT cell and can differ from measured ones.

Cell and atoms:
```
LiPO4
1.0
6.2891 3.6310 1.8258
-6.2891 3.6310 1.8258
0.0000 -7.2620 1.8258
Li P O
3 3 12
direct
0.0562 0.7474 0.1964
0.1964 0.0562 0.7474
0.7474 0.1964 0.0562
0.3664 0.6308 0.4616
0.4616 0.3664 0.6308
0.6308 0.4616 0.3664
0.0998 0.5376 0.2597
0.2325 0.6802 0.9895
0.2597 0.0998 0.5376
0.2938 0.4399 0.5221
0.4399 0.5221 0.2938
0.5221 0.2938 0.4399
0.5376 0.2597 0.0998
0.6066 0.9258 0.7187
0.6802 0.9895 0.2325
0.7187 0.6066 0.9258
0.9258 0.7187 0.6066
0.9895 0.2325 0.6802
```

Most intense lines, 2θ from 15° to 90°, sorted by position:
2θ (°), I_rel
18.1, 100
23.0, 28
24.5, 10
27.1, 17
28.4, 75
33.7, 16
33.9, 29
37.8, 10
47.2, 13
49.4, 12